RbReBr2: theoretical X-ray powder pattern (Cu Ka), based on a PBE-relaxed structure.
Neutral-atom scattering factors, no anomalous dispersion.

Crystal structure
a b c (Å): 6.439 6.439 13.488
angles (deg): 90.00 90.00 90.00
Space group I-42d (No. 122)
Inequivalent atoms, fractional coordinates:
Rb1 0.000 0.000 0.000 (multiplicity 4)
Re1 0.000 0.000 0.500 (multiplicity 4)
Br1 0.129 0.250 0.625 (multiplicity 8)

Most intense lines, 5° ≤ 2θ ≤ 70°, sorted by position:
- 15.25 deg, I = 49
- 23.58 deg, I = 100
- 27.71 deg, I = 13
- 37.08 deg, I = 16
- 38.67 deg, I = 40
- 44.97 deg, I = 18
- 46.59 deg, I = 27
- 61.44 deg, I = 12

RbReTc2Br: theoretical X-ray powder pattern (Cu Ka), based on a PBE-relaxed structure.
Neutral-atom scattering factors, no anomalous dispersion.

Crystal structure
a b c (Å): 4.675 4.675 5.606
angles (deg): 90.00 90.00 90.00
Space group P4/mmm (No. 123)
Inequivalent atoms, fractional coordinates:
Rb1 0.000 0.000 0.000 (multiplicity 1)
Re1 0.500 0.500 0.000 (multiplicity 1)
Tc1 0.000 0.500 0.500 (multiplicity 2)
Br1 0.000 0.000 0.500 (multiplicity 1)

Most intense lines, 5° ≤ 2θ ≤ 70°, sorted by position:
- 24.80 deg, I = 38
- 31.42 deg, I = 100
- 31.93 deg, I = 48
- 38.51 deg, I = 58
- 50.86 deg, I = 52
- 55.60 deg, I = 20
- 65.27 deg, I = 24
- 65.57 deg, I = 24

Rb2VReBr6: theoretical X-ray powder pattern (Cu Ka), based on a PBE-relaxed structure.
Neutral-atom scattering factors, no anomalous dispersion.

Crystal structure
a b c (Å): 7.541 7.541 10.435
angles (deg): 90.00 90.00 90.00
Space group I4/mmm (No. 139)
Inequivalent atoms, fractional coordinates:
Rb1 0.000 0.500 0.250 (multiplicity 4)
V1 0.000 0.000 0.000 (multiplicity 2)
Re1 0.000 0.000 0.500 (multiplicity 2)
Br1 0.000 0.000 0.251 (multiplicity 4)
Br2 0.248 0.248 0.500 (multiplicity 8)

Most intense lines, 5° ≤ 2θ ≤ 70°, sorted by position:
- 16.62 deg, I = 36
- 23.86 deg, I = 35
- 29.22 deg, I = 68
- 33.61 deg, I = 100
- 34.38 deg, I = 47
- 48.27 deg, I = 35
- 48.84 deg, I = 68
- 60.60 deg, I = 35

Rb2RhBr7: theoretical X-ray powder pattern (Cu Ka), based on a PBE-relaxed structure.
Neutral-atom scattering factors, no anomalous dispersion.

Crystal structure
a b c (Å): 8.280 8.280 10.500
angles (deg): 90.00 90.00 90.00
Space group I4/mmm (No. 139)
Inequivalent atoms, fractional coordinates:
Rb1 0.000 0.500 0.250 (multiplicity 4)
Rh1 0.000 0.000 0.000 (multiplicity 2)
Br1 0.000 0.000 0.246 (multiplicity 4)
Br2 0.000 0.000 0.500 (multiplicity 2)
Br3 0.213 0.213 0.000 (multiplicity 8)

Most intense lines, 5° ≤ 2θ ≤ 70°, sorted by position:
- 15.13 deg, I = 35
- 22.75 deg, I = 31
- 27.44 deg, I = 84
- 30.54 deg, I = 100
- 34.17 deg, I = 47
- 43.73 deg, I = 30
- 46.47 deg, I = 65
- 56.63 deg, I = 31

Rb4RhBr6: theoretical X-ray powder pattern (Cu Ka), based on a PBE-relaxed structure.
Neutral-atom scattering factors, no anomalous dispersion.

Crystal structure
a b c (Å): 9.320 9.320 9.577
angles (deg): 90.00 90.00 90.00
Space group P4/mnc (No. 128)
Inequivalent atoms, fractional coordinates:
Rb1 0.170 0.330 0.250 (multiplicity 8)
Rh1 0.000 0.000 0.000 (multiplicity 2)
Br1 0.000 0.000 0.263 (multiplicity 4)
Br2 0.091 0.716 0.000 (multiplicity 8)

Most intense lines, 5° ≤ 2θ ≤ 70°, sorted by position:
- 13.26 deg, I = 61
- 28.39 deg, I = 100
- 30.32 deg, I = 66
- 31.77 deg, I = 20
- 37.57 deg, I = 26
- 43.42 deg, I = 19
- 49.02 deg, I = 29
- 58.74 deg, I = 15

RbRhBr6: theoretical X-ray powder pattern (Cu Ka), based on a PBE-relaxed structure.
Neutral-atom scattering factors, no anomalous dispersion.

Crystal structure
a b c (Å): 9.6201 9.6201 9.3801
angles (deg): 90.00 90.00 120.00
Space group R-3m (No. 166, hexagonal axes)
Inequivalent atoms, fractional coordinates:
Rb1 0.0000 0.0000 0.0000 (multiplicity 3)
Rh1 0.0000 0.0000 0.5000 (multiplicity 3)
Br1 0.0925 0.5462 0.3235 (multiplicity 18)

Most intense lines, 5° ≤ 2θ ≤ 70°, sorted by position:
- 14.22 deg, I = 22
- 18.45 deg, I = 22
- 23.37 deg, I = 23
- 28.55 deg, I = 26
- 29.93 deg, I = 46
- 34.30 deg, I = 100
- 48.40 deg, I = 37
- 57.48 deg, I = 20

Rb2SrRhBr6: theoretical X-ray powder pattern (Cu Ka), based on a PBE-relaxed structure.
Neutral-atom scattering factors, no anomalous dispersion.

Crystal structure
a b c (Å): 7.968 7.968 11.044
angles (deg): 90.00 90.00 90.00
Space group I4/mmm (No. 139)
Inequivalent atoms, fractional coordinates:
Rb1 0.000 0.500 0.250 (multiplicity 4)
Sr1 0.000 0.000 0.000 (multiplicity 2)
Rh1 0.000 0.000 0.500 (multiplicity 2)
Br1 0.000 0.000 0.271 (multiplicity 4)
Br2 0.235 0.235 0.500 (multiplicity 8)

Most intense lines, 5° ≤ 2θ ≤ 70°, sorted by position:
- 15.73 deg, I = 28
- 22.55 deg, I = 30
- 27.61 deg, I = 86
- 31.76 deg, I = 100
- 32.43 deg, I = 46
- 45.54 deg, I = 35
- 46.03 deg, I = 66
- 57.01 deg, I = 33

RbZnRhBr6: theoretical X-ray powder pattern (Cu Ka), based on a PBE-relaxed structure.
Neutral-atom scattering factors, no anomalous dispersion.

Crystal structure
a b c (Å): 6.7115 6.7115 7.7860
angles (deg): 90.00 90.00 120.00
Space group P312 (No. 149)
Inequivalent atoms, fractional coordinates:
Rb1 0.0000 0.0000 0.0000 (multiplicity 1)
Zn1 0.6667 0.3333 0.5000 (multiplicity 1)
Rh1 0.3333 0.6667 0.5000 (multiplicity 1)
Br1 0.0143 0.3746 0.6860 (multiplicity 6)

Most intense lines, 5° ≤ 2θ ≤ 70°, sorted by position:
- 11.36 deg, I = 78
- 19.05 deg, I = 73
- 28.97 deg, I = 89
- 35.31 deg, I = 100
- 42.77 deg, I = 22
- 44.11 deg, I = 23
- 46.91 deg, I = 53
- 54.50 deg, I = 25

Rb3RuBr8: theoretical X-ray powder pattern (Cu Ka), based on a PBE-relaxed structure.
Neutral-atom scattering factors, no anomalous dispersion.

Crystal structure
a b c (Å): 10.3801 10.3801 9.3709
angles (deg): 90.00 90.00 120.00
Space group P6_3mc (No. 186)
Inequivalent atoms, fractional coordinates:
Rb1 0.1510 0.3021 0.0000 (multiplicity 6)
Ru1 0.3333 0.6667 0.4386 (multiplicity 2)
Br1 0.0000 0.0000 0.2544 (multiplicity 2)
Br2 0.1069 0.5535 0.2879 (multiplicity 6)
Br3 0.2195 0.4389 0.5957 (multiplicity 6)
Br4 0.3333 0.6667 0.9444 (multiplicity 2)

Most intense lines, 5° ≤ 2θ ≤ 70°, sorted by position:
- 13.65 deg, I = 25
- 21.93 deg, I = 25
- 27.50 deg, I = 100
- 27.93 deg, I = 30
- 31.34 deg, I = 55
- 32.55 deg, I = 32
- 34.56 deg, I = 37
- 52.93 deg, I = 29

Rb2RuSBr6: theoretical X-ray powder pattern (Cu Ka), based on a PBE-relaxed structure.
Neutral-atom scattering factors, no anomalous dispersion.

Crystal structure
a b c (Å): 8.158 8.158 10.105
angles (deg): 90.00 90.00 90.00
Space group I4/mmm (No. 139)
Inequivalent atoms, fractional coordinates:
Rb1 0.000 0.500 0.250 (multiplicity 4)
Ru1 0.000 0.000 0.000 (multiplicity 2)
S1 0.000 0.000 0.500 (multiplicity 2)
Br1 0.000 0.000 0.255 (multiplicity 4)
Br2 0.219 0.219 0.000 (multiplicity 8)

Most intense lines, 5° ≤ 2θ ≤ 70°, sorted by position:
- 13.95 deg, I = 33
- 28.12 deg, I = 100
- 31.01 deg, I = 87
- 35.54 deg, I = 33
- 44.42 deg, I = 27
- 47.87 deg, I = 50
- 53.40 deg, I = 22
- 58.13 deg, I = 24

RbSiRuBr2: theoretical X-ray powder pattern (Cu Ka), based on a PBE-relaxed structure.
Neutral-atom scattering factors, no anomalous dispersion.

Crystal structure
a b c (Å): 6.076 6.076 5.424
angles (deg): 90.00 90.00 90.00
Space group P4/mmm (No. 123)
Inequivalent atoms, fractional coordinates:
Rb1 0.000 0.000 0.000 (multiplicity 1)
Si1 0.500 0.500 0.500 (multiplicity 1)
Ru1 0.000 0.000 0.500 (multiplicity 1)
Br1 0.000 0.500 0.000 (multiplicity 2)

Most intense lines, 5° ≤ 2θ ≤ 70°, sorted by position:
- 14.58 deg, I = 93
- 26.47 deg, I = 79
- 29.40 deg, I = 100
- 33.00 deg, I = 62
- 42.06 deg, I = 37
- 44.79 deg, I = 66
- 50.39 deg, I = 27
- 54.49 deg, I = 40

RbTl2RuBr8: theoretical X-ray powder pattern (Cu Ka), based on a PBE-relaxed structure.
Neutral-atom scattering factors, no anomalous dispersion.

Crystal structure
a b c (Å): 6.609 9.323 7.377
angles (deg): 90.00 110.48 90.00
Space group P2/m (No. 10)
Inequivalent atoms, fractional coordinates:
Rb1 0.000 0.000 0.000 (multiplicity 1)
Tl1 0.000 0.252 0.500 (multiplicity 2)
Ru1 0.000 0.500 0.000 (multiplicity 1)
Br1 0.233 0.500 0.798 (multiplicity 2)
Br2 0.235 0.313 0.220 (multiplicity 4)
Br3 0.284 0.000 0.684 (multiplicity 2)

Most intense lines, 5° ≤ 2θ ≤ 70°, sorted by position:
- 14.31 deg, I = 78
- 23.01 deg, I = 40
- 24.73 deg, I = 32
- 29.55 deg, I = 100
- 31.34 deg, I = 42
- 33.36 deg, I = 23
- 41.53 deg, I = 25
- 45.63 deg, I = 41

- Number 1 is which compound?
  RbReBr2